# 1
Diffraction record for Cs4FeSbCl12. The powder diffraction line list is calculated, not measured: it uses the GGA-PBE geometry in Alexandria and λ = 1.5418 Å (Cu Kα).
Intensities are scaled so that the largest is 100.

Crystal structure
Cell lengths 7.4803, 7.4803, 10.6866 Å; angles 90.00, 90.00, 90.00 degrees
Space group P4/mmm (No. 123)
Inequivalent atoms, fractional coordinates:
Cs 0.0000 0.5000 0.2384 [4 per cell]
Fe 0.0000 0.0000 0.0000 [1 per cell]
Sb 0.5000 0.5000 0.5000 [1 per cell]
Cl 0.0000 0.0000 0.2126 [2 per cell]
Cl 0.2156 0.2156 0.0000 [4 per cell]
Cl 0.2619 0.2619 0.5000 [4 per cell]
Cl 0.5000 0.5000 0.2630 [2 per cell]

The 10 most intense peaks (2θ = 10–90°), by angle:
| 2theta | intensity | h k l |
| --- | --- | --- |
| 14.45 | 61 | 1 0 1 |
| 23.67 | 94 | 1 1 2 |
| 23.79 | 47 | 2 0 0 |
| 29.14 | 100 | 2 0 2 |
| 33.54 | 35 | 0 0 4 |
| 33.90 | 72 | 2 2 0 |
| 41.76 | 39 | 3 1 2 |
| 48.43 | 44 | 2 2 4 |
| 48.69 | 23 | 4 0 0 |
| 54.86 | 23 | 4 2 0 |

# 2
Diffraction record for Cs2FeSbCl6. The powder diffraction line list is calculated, not measured: it uses the GGA-PBE geometry in Alexandria and λ = 1.5418 Å (Cu Kα).
Intensities are scaled so that the largest is 100.

Crystal structure
Cell lengths 7.4492, 7.4492, 11.3163 Å; angles 90.00, 90.00, 90.00 degrees
Space group I4/mmm (No. 139)
Inequivalent atoms, fractional coordinates:
Cs 0.0000 0.5000 0.2500 [4 per cell]
Fe 0.0000 0.0000 0.0000 [2 per cell]
Sb 0.0000 0.0000 0.5000 [2 per cell]
Cl 0.0000 0.0000 0.2062 [4 per cell]
Cl 0.2466 0.2466 0.0000 [8 per cell]

The 10 most intense peaks (2θ = 10–90°), by angle:
| 2theta | intensity | h k l |
| --- | --- | --- |
| 23.07 | 100 | 1 1 2 |
| 23.89 | 43 | 2 0 0 |
| 28.69 | 34 | 2 0 2 |
| 31.63 | 30 | 0 0 4 |
| 34.04 | 55 | 2 2 0 |
| 40.02 | 18 | 2 0 4 |
| 41.52 | 43 | 3 1 2 |
| 47.15 | 37 | 2 2 4 |
| 48.91 | 19 | 4 0 0 |
| 59.42 | 18 | 4 0 4 |

# 3
Diffraction record for CsYFe2Cl8. The powder diffraction line list is calculated, not measured: it uses the GGA-PBE geometry in Alexandria and λ = 1.5418 Å (Cu Kα).
Intensities are scaled so that the largest is 100.

Crystal structure
Cell lengths 6.5646, 6.5646, 30.1501 Å; angles 90.00, 90.00, 120.00 degrees
Space group R-3 (No. 148, hexagonal axes)
Inequivalent atoms, fractional coordinates:
Cs 0.0000 0.0000 0.0000 [3 per cell]
Y 0.0000 0.0000 0.5000 [3 per cell]
Fe 0.0000 0.0000 0.2435 [6 per cell]
Cl 0.0000 0.0000 0.3173 [6 per cell]
Cl 0.9999 0.3291 0.5519 [18 per cell]

The 10 most intense peaks (2θ = 10–90°), by angle:
| 2theta | intensity | h k l |
| --- | --- | --- |
| 19.56 | 100 | 1 0 4 |
| 26.61 | 17 | 0 0 9 |
| 27.17 | 37 | 1 1 0 |
| 28.41 | 24 | 0 1 8 |
| 28.61 | 35 | 1 1 3 |
| 32.58 | 36 | 2 -1 6 |
| 33.69 | 29 | 0 2 4 |
| 43.81 | 26 | 3 -1 4 |
| 45.46 | 37 | 1 1 12 |
| 48.01 | 30 | 3 0 0 |

# 4
Diffraction record for Cs2Ga2Cl7. The powder diffraction line list is calculated, not measured: it uses the GGA-PBE geometry in Alexandria and λ = 1.5418 Å (Cu Kα).
Intensities are scaled so that the largest is 100.

Crystal structure
Cell lengths 6.3342, 16.4343, 8.6408 Å; angles 90.00, 101.31, 90.00 degrees
Space group P2_1/c (No. 14)
Inequivalent atoms, fractional coordinates:
Cs 0.1373 0.1512 0.4454 [4 per cell]
Ga 0.3186 0.6030 0.6275 [4 per cell]
Cl 0.0072 0.6445 0.4731 [4 per cell]
Cl 0.2475 0.5550 0.8605 [4 per cell]
Cl 0.4887 0.2180 0.7961 [4 per cell]
Cl 0.5000 0.0000 0.0000 [2 per cell]

The 10 most intense peaks (2θ = 10–90°), by angle:
| 2theta | intensity | h k l |
| --- | --- | --- |
| 19.29 | 100 | 1 2 -1 |
| 20.05 | 50 | 1 1 1 |
| 20.97 | 14 | 0 0 2 |
| 21.64 | 53 | 0 4 0 |
| 26.00 | 17 | 1 4 0 |
| 29.27 | 15 | 2 1 0 |
| 30.78 | 15 | 1 5 0 |
| 35.82 | 20 | 1 5 -2 |
| 39.17 | 13 | 2 0 2 |
| 55.61 | 18 | 2 7 -3 |

# 5
Diffraction record for Cs8Ga11Cl. The powder diffraction line list is calculated, not measured: it uses the GGA-PBE geometry in Alexandria and λ = 1.5418 Å (Cu Kα).
Intensities are scaled so that the largest is 100.

Crystal structure
Cell lengths 10.1242, 10.1242, 51.4826 Å; angles 90.00, 90.00, 120.00 degrees
Space group R-3c (No. 167, hexagonal axes)
Inequivalent atoms, fractional coordinates:
Cs 0.0000 0.0000 0.0743 [12 per cell]
Cs 0.0288 0.4068 0.3104 [36 per cell]
Ga 0.0000 0.0000 0.2064 [12 per cell]
Ga 0.0000 0.1903 0.2500 [18 per cell]
Ga 0.0011 0.2521 0.7232 [36 per cell]
Cl 0.0000 0.0000 0.0000 [6 per cell]

The 10 most intense peaks (2θ = 10–90°), by angle:
| 2theta | intensity | h k l |
| --- | --- | --- |
| 20.37 | 52 | 1 1 6 |
| 23.47 | 74 | 1 1 9 |
| 24.57 | 69 | 2 0 8 |
| 26.28 | 35 | 0 1 14 |
| 26.71 | 31 | 0 2 10 |
| 26.96 | 59 | 2 1 1 |
| 27.13 | 35 | 1 2 2 |
| 30.59 | 81 | 3 0 0 |
| 31.49 | 100 | 1 1 15 |
| 44.68 | 38 | 3 1 14 |

# 6
Diffraction record for CsGa2GeCl8. The powder diffraction line list is calculated, not measured: it uses the GGA-PBE geometry in Alexandria and λ = 1.5418 Å (Cu Kα).
Intensities are scaled so that the largest is 100.

Crystal structure
Cell lengths 6.7911, 6.7911, 29.3869 Å; angles 90.00, 90.00, 120.00 degrees
Space group R-3 (No. 148, hexagonal axes)
Inequivalent atoms, fractional coordinates:
Cs 0.0000 0.0000 0.0000 [3 per cell]
Ga 0.0000 0.0000 0.2473 [6 per cell]
Ge 0.0000 0.0000 0.5000 [3 per cell]
Cl 0.0000 0.0000 0.3237 [6 per cell]
Cl 0.0054 0.3568 0.8890 [18 per cell]

The 10 most intense peaks (2θ = 10–90°), by angle:
| 2theta | intensity | h k l |
| --- | --- | --- |
| 19.33 | 100 | 1 0 4 |
| 26.25 | 39 | 1 1 0 |
| 27.31 | 16 | 0 0 9 |
| 27.81 | 39 | 1 1 3 |
| 28.65 | 24 | 0 1 8 |
| 32.07 | 27 | 2 -1 6 |
| 32.81 | 19 | 0 2 4 |
| 42.49 | 23 | 3 -1 4 |
| 45.68 | 39 | 1 1 12 |
| 46.31 | 31 | 3 0 0 |